For BaBi2Mo4O16, the GGA+U geometry in Alexandria gives the theoretical powder diffraction line list in this record (Cu Kα).
Kinematic intensities with the Lorentz-polarization factor, no thermal factor.

Most intense lines, 10° ≤ 2θ ≤ 80°, low angle first:
2θ (°), I (rel.)
24.85, 64
25.58, 71
26.63, 45
26.81, 54
27.67, 82
28.00, 76
28.21, 100
29.02, 83
33.12, 64
44.72, 55

Atomic structure:
```
46
Lattice="2.706 -6.506 0.000 2.706 6.506 0.000 -0.616 0.000 19.970" Properties=species:S:1:pos:R:3 pbc="T T T"
Ba 2.244 6.138 14.978
Ba 2.552 -6.138 4.993
Bi 2.372 4.559 10.721
Bi 2.116 4.559 19.235
Bi 2.680 -4.559 0.736
Bi 2.424 -4.559 9.250
Mo 2.614 3.101 2.984
Mo 2.490 3.101 7.001
Mo 2.039 0.759 18.177
Mo 2.449 0.759 11.779
Mo 2.347 -0.759 8.191
Mo 2.757 -0.759 1.794
Mo 2.307 -3.101 12.969
Mo 2.182 -3.101 16.986
O 1.993 4.659 3.514
O 1.527 3.319 8.595
O 1.194 1.948 2.698
O 1.411 2.463 5.775
O 1.280 2.244 19.025
O 1.136 0.561 7.906
O 1.083 0.194 10.690
O 3.111 4.659 6.472
O 1.391 -0.194 0.705
O 0.828 -0.561 17.891
O 1.699 1.063 13.319
O 0.886 -1.948 12.683
O 3.577 3.319 1.390
O 2.007 -1.063 3.334
O 1.103 -2.463 15.761
O 3.208 2.244 10.931
O 1.588 -2.244 9.040
O 3.693 2.463 4.210
O 2.789 1.063 16.636
O 1.219 -3.319 18.580
O 3.910 1.948 7.287
O 3.097 -1.063 6.651
O 3.968 0.561 2.079
O 3.405 0.194 19.265
O 1.685 -4.659 13.499
O 3.713 -0.194 9.280
O 3.661 -0.561 12.064
O 3.516 -2.244 0.945
O 3.385 -2.463 14.195
O 3.602 -1.948 17.273
O 3.269 -3.319 11.376
O 2.803 -4.659 16.457
```